The following is a theoretical X-ray diffraction stick pattern of Pt6Au. It was derived from a crystal structure in Alexandria, relaxed with PBE, using λ = 1.5418 Å (Cu Kα).
Peak positions follow from Bragg's law for the DFT cell and can differ from measured ones.

Cell and atoms:
```
data_Pt6Au
_cell_length_a 7.0125
_cell_length_b 7.0125
_cell_length_c 7.0125
_cell_angle_alpha 90.00
_cell_angle_beta 90.00
_cell_angle_gamma 90.00
_space_group_name_H-M_alt 'P 1'
_space_group_IT_number 1
_space_group_name_Hall 'P 1'
loop_
_atom_site_label
_atom_site_fract_x
_atom_site_fract_y
_atom_site_fract_z
_atom_site_occupancy
Pt1 0.0000 0.2500 0.5000 1
Pt2 0.0000 0.5000 0.2500 1
Pt3 0.0000 0.5000 0.7500 1
Pt4 0.0000 0.7500 0.5000 1
Pt5 0.2500 0.0000 0.5000 1
Pt6 0.2500 0.5000 0.0000 1
Pt7 0.5000 0.0000 0.2500 1
Pt8 0.5000 0.0000 0.7500 1
Pt9 0.5000 0.2500 0.0000 1
Pt10 0.5000 0.7500 0.0000 1
Pt11 0.7500 0.0000 0.5000 1
Pt12 0.7500 0.5000 0.0000 1
Au1 0.0000 0.0000 0.0000 1
Au2 0.5000 0.5000 0.5000 1
```

Most intense lines, 2θ = 5–70°, most intense first:
d/Å	I (rel.)
2.863	100
1.874	60
3.506	42
2.024	34
1.753	33
4.959	20
1.568	17
1.495	14
2.218	5
2.479	3

The following is a theoretical X-ray diffraction stick pattern of Pt2Au13. It was derived from a crystal structure in Alexandria, relaxed with PBE, using λ = 1.5418 Å (Cu Kα).
Peak positions follow from Bragg's law for the DFT cell and can differ from measured ones.

Cell and atoms:
```
data_Pt2Au13
_cell_length_a 5.0444
_cell_length_b 7.1807
_cell_length_c 7.7451
_cell_angle_alpha 107.38
_cell_angle_beta 96.34
_cell_angle_gamma 90.13
_space_group_name_H-M_alt 'P 1'
_space_group_IT_number 1
_space_group_name_Hall 'P 1'
loop_
_atom_site_label
_atom_site_fract_x
_atom_site_fract_y
_atom_site_fract_z
_atom_site_occupancy
Pt1 0.0658 0.1308 0.3996 1
Pt2 0.9342 0.8692 0.6004 1
Au1 0.0000 0.0000 0.0000 1
Au2 0.1327 0.2616 0.7938 1
Au3 0.1981 0.3955 0.1994 1
Au4 0.2638 0.5302 0.5985 1
Au5 0.3327 0.6635 0.0017 1
Au6 0.3967 0.8014 0.4036 1
Au7 0.4668 0.9313 0.7986 1
Au8 0.5332 0.0687 0.2014 1
Au9 0.6033 0.1986 0.5964 1
Au10 0.6673 0.3365 0.9983 1
Au11 0.7362 0.4698 0.4015 1
Au12 0.8019 0.6045 0.8006 1
Au13 0.8673 0.7384 0.2062 1
```

Most intense lines, 2θ = 5–70°, most intense first:
d/Å	I (rel.)
2.395	100
2.062	65
2.388	50
2.381	49
2.084	33
1.460	22
1.471	11
1.468	11
1.464	11
1.457	11

The following is a theoretical X-ray diffraction stick pattern of PuPtRhAu. It was derived from a crystal structure in Alexandria, relaxed with PBE, using λ = 1.5418 Å (Cu Kα).
Peak positions follow from Bragg's law for the DFT cell and can differ from measured ones.

Cell and atoms:
```
data_PuPtRhAu
_cell_length_a 3.9356
_cell_length_b 4.1770
_cell_length_c 4.4169
_cell_angle_alpha 90.00
_cell_angle_beta 90.00
_cell_angle_gamma 90.00
_space_group_name_H-M_alt 'P 1'
_space_group_IT_number 1
_space_group_name_Hall 'P 1'
loop_
_atom_site_label
_atom_site_fract_x
_atom_site_fract_y
_atom_site_fract_z
_atom_site_occupancy
Pu1 0.0000 0.0000 0.0000 1
Pt1 0.5000 0.0000 0.5000 1
Rh1 0.5000 0.5000 0.0000 1
Au1 0.0000 0.5000 0.5000 1
```

Most intense lines, 2θ = 5–70°, most intense first:
d/Å	I (rel.)
2.403	100
2.208	20
2.088	17
1.968	14
1.517	12
1.469	11
1.432	10
3.035	3
3.936	3
4.177	3

The following is a theoretical X-ray diffraction stick pattern of PuSi2PtAu2. It was derived from a crystal structure in Alexandria, relaxed with PBE, using λ = 1.5418 Å (Cu Kα).
Peak positions follow from Bragg's law for the DFT cell and can differ from measured ones.

Cell and atoms:
```
data_PuSi2PtAu2
_cell_length_a 4.8901
_cell_length_b 4.8901
_cell_length_c 10.9499
_cell_angle_alpha 90.00
_cell_angle_beta 90.00
_cell_angle_gamma 90.00
_space_group_name_H-M_alt 'P 1'
_space_group_IT_number 1
_space_group_name_Hall 'P 1'
loop_
_atom_site_label
_atom_site_fract_x
_atom_site_fract_y
_atom_site_fract_z
_atom_site_occupancy
Pu1 0.0000 0.0000 0.0000 1
Pu2 0.5000 0.5000 0.5000 1
Si1 0.0000 0.0000 0.2898 1
Si2 0.0000 0.0000 0.7102 1
Si3 0.5000 0.5000 0.2102 1
Si4 0.5000 0.5000 0.7898 1
Pt1 0.0000 0.0000 0.5000 1
Pt2 0.5000 0.5000 0.0000 1
Au1 0.0000 0.5000 0.2500 1
Au2 0.0000 0.5000 0.7500 1
Au3 0.5000 0.0000 0.2500 1
Au4 0.5000 0.0000 0.7500 1
```

Most intense lines, 2θ = 5–70°, most intense first:
d/Å	I (rel.)
2.924	100
2.445	40
1.824	32
1.488	27
2.737	25
1.614	20
1.462	15
1.729	14
1.369	3
3.458	1

The following is a theoretical X-ray diffraction stick pattern of PuTlPtAu. It was derived from a crystal structure in Alexandria, relaxed with PBE, using λ = 1.5418 Å (Cu Kα).
Peak positions follow from Bragg's law for the DFT cell and can differ from measured ones.

Cell and atoms:
```
data_PuTlPtAu
_cell_length_a 7.0506
_cell_length_b 7.0506
_cell_length_c 7.0506
_cell_angle_alpha 90.00
_cell_angle_beta 90.00
_cell_angle_gamma 90.00
_space_group_name_H-M_alt 'P 1'
_space_group_IT_number 1
_space_group_name_Hall 'P 1'
loop_
_atom_site_label
_atom_site_fract_x
_atom_site_fract_y
_atom_site_fract_z
_atom_site_occupancy
Pu1 0.0000 0.0000 0.0000 1
Pu2 0.0000 0.5000 0.5000 1
Pu3 0.5000 0.0000 0.5000 1
Pu4 0.5000 0.5000 0.0000 1
Tl1 0.0000 0.0000 0.5000 1
Tl2 0.0000 0.5000 0.0000 1
Tl3 0.5000 0.0000 0.0000 1
Tl4 0.5000 0.5000 0.5000 1
Pt1 0.2500 0.2500 0.2500 1
Pt2 0.2500 0.7500 0.7500 1
Pt3 0.7500 0.2500 0.7500 1
Pt4 0.7500 0.7500 0.2500 1
Au1 0.2500 0.2500 0.7500 1
Au2 0.2500 0.7500 0.2500 1
Au3 0.7500 0.2500 0.2500 1
Au4 0.7500 0.7500 0.7500 1
```

Most intense lines, 2θ = 5–70°, most intense first:
d/Å	I (rel.)
2.493	100
1.439	37
1.763	18

The following is a theoretical X-ray diffraction stick pattern of RePt4Au. It was derived from a crystal structure in Alexandria, relaxed with PBE, using λ = 1.5418 Å (Cu Kα).
Peak positions follow from Bragg's law for the DFT cell and can differ from measured ones.

Cell and atoms:
```
data_RePt4Au
_cell_length_a 2.7946
_cell_length_b 3.9928
_cell_length_c 8.5226
_cell_angle_alpha 90.00
_cell_angle_beta 90.00
_cell_angle_gamma 90.00
_space_group_name_H-M_alt 'P 1'
_space_group_IT_number 1
_space_group_name_Hall 'P 1'
loop_
_atom_site_label
_atom_site_fract_x
_atom_site_fract_y
_atom_site_fract_z
_atom_site_occupancy
Re1 0.0000 0.0000 0.0000 1
Pt1 0.0000 0.0000 0.3198 1
Pt2 0.0000 0.0000 0.6802 1
Pt3 0.5000 0.5000 0.1560 1
Pt4 0.5000 0.5000 0.8440 1
Au1 0.5000 0.5000 0.5000 1
```

Most intense lines, 2θ = 5–70°, most intense first:
d/Å	I (rel.)
2.290	100
2.315	100
1.992	64
1.410	43
1.996	33
1.397	11
1.420	10
1.367	2
2.914	2
1.880	1